This entry pairs a crystal structure of PmTm5Cu6 with its computed powder XRD pattern. Radiation: Cu Ka. Structure: DFT lattice parameters and positions (GGA-PBE).
Lines closer than 0.1° are merged.

Atomic structure:
```
data_PmTm5Cu6
_chemical_formula_sum 'Pm1 Tm5 Cu6'
_space_group_name_H-M_alt 'P 1 2/m 1'
_space_group_IT_number 10
_space_group_name_Hall '-P 2y'
_cell_length_a 4.8800
_cell_length_b 6.8353
_cell_length_c 7.7300
_cell_angle_alpha 90.00
_cell_angle_beta 108.28
_cell_angle_gamma 90.00
loop_
_atom_site_label
_atom_site_type_symbol
_atom_site_fract_x
_atom_site_fract_y
_atom_site_fract_z
_atom_site_occupancy
Pm1 Pm 0.0000 0.0000 0.0000 1
Tm1 Tm 0.0000 0.5000 0.0000 1
Tm2 Tm 0.3321 0.0000 0.6636 1
Tm3 Tm 0.3344 0.5000 0.6681 1
Cu1 Cu 0.1694 0.2538 0.3407 1
Cu2 Cu 0.5000 0.2627 0.0000 1
```

Largest 6 diffraction maxima, sorted by position, 2θ from 5° to 70°:
- 2θ 25.78, d 3.455, I = 21, (1 0 1)
- 2θ 36.73, d 2.447, I = 25, (0 0 3)
- 2θ 36.84, d 2.440, I = 25, (2 0 -1)
- 2θ 37.00, d 2.430, I = 100, (1 2 1)
- 2θ 66.33, d 1.409, I = 17, (1 2 4)
- 2θ 66.46, d 1.407, I = 17, (3 2 0)